Starting from a cell relaxed with PBE, the powder diffraction line list of TiNb2O7 was calculated for Cu Kα.

Cell and atoms:
Unit cell a=7.694 b=10.546 c=11.444 alpha=66.75 beta=80.31 gamma=79.53
Space group P1 (No. 1)
Unique sites:
1 Ti 0.000 0.000 0.000 x1
2 Ti 0.090 0.645 0.002 x1
3 Ti 0.358 0.224 0.377 x1
4 Ti 0.485 0.333 0.739 x1
5 Ti 0.592 0.631 0.015 x1
6 Ti 0.796 0.075 0.748 x1
7 Nb 0.044 0.490 0.359 x1
8 Nb 0.299 0.074 0.740 x1
9 Nb 0.393 0.696 0.747 x1
10 Nb 0.404 0.374 0.014 x1
11 Nb 0.428 0.867 0.374 x1
12 Nb 0.501 0.997 0.004 x1
13 Nb 0.537 0.490 0.377 x1
14 Nb 0.853 0.215 0.391 x1
15 Nb 0.887 0.715 0.742 x1
16 Nb 0.906 0.374 0.015 x1
17 Nb 0.934 0.860 0.357 x1
18 Nb 0.982 0.338 0.737 x1
19 O 0.003 0.668 0.362 x1
20 O 0.007 0.417 0.562 x1
21 O 0.030 0.106 0.779 x1
22 O 0.048 0.822 0.992 x1
23 O 0.071 0.554 0.177 x1
24 O 0.093 0.270 0.378 x1
25 O 0.130 0.691 0.799 x1
26 O 0.147 0.428 0.997 x1
27 O 0.190 0.855 0.380 x1
28 O 0.245 0.285 0.751 x1
29 O 0.256 0.021 0.955 x1
30 O 0.303 0.436 0.373 x1
31 O 0.320 0.158 0.566 x1
32 O 0.341 0.887 0.759 x1
33 O 0.358 0.604 0.974 x1
34 O 0.382 0.292 0.190 x1
35 O 0.399 0.044 0.389 x1
36 O 0.416 0.758 0.573 x1
37 O 0.433 0.487 0.790 x1
38 O 0.458 0.223 0.958 x1
39 O 0.469 0.953 0.179 x1
40 O 0.492 0.671 0.365 x1
41 O 0.509 0.411 0.567 x1
42 O 0.532 0.104 0.779 x1
43 O 0.548 0.817 0.996 x1
44 O 0.569 0.552 0.183 x1
45 O 0.591 0.267 0.380 x1
46 O 0.630 0.691 0.794 x1
47 O 0.645 0.431 0.998 x1
48 O 0.693 0.847 0.381 x1
49 O 0.741 0.285 0.752 x1
50 O 0.759 0.022 0.952 x1
51 O 0.801 0.439 0.373 x1
52 O 0.821 0.157 0.575 x1
53 O 0.838 0.895 0.758 x1
54 O 0.857 0.605 0.975 x1
55 O 0.882 0.292 0.190 x1
56 O 0.897 0.037 0.390 x1
57 O 0.919 0.762 0.572 x1
58 O 0.932 0.492 0.790 x1
59 O 0.956 0.224 0.958 x1
60 O 0.965 0.953 0.172 x1

Main lines, most intense first (2θ from 10° to 90°):
2θ (°)  d_spacing  Rel. int.  hkl
23.66  3.761  100  2 0 0
25.56  3.485  83  0 0 3
25.85  3.447  65  0 3 1
16.96  5.228  38  0 0 2
47.26  1.923  36  4 1 1
17.17  5.164  31  0 2 1
33.13  2.704  30  2 1 -2
32.04  2.793  27  2 3 1

***

Starting from a cell relaxed with PBE, the powder diffraction line list of Tb2NdDy4Ho was calculated for Cu Kα.

Cell and atoms:
Unit cell a=13.594 b=13.260 c=6.800 alpha=90.00 beta=120.01 gamma=90.00
Space group C2/c (No. 15)
Unique sites:
1 Tb 0.000 0.000 0.000 x4
2 Tb 0.250 0.250 0.000 x4
3 Nd 0.250 0.250 0.500 x4
4 Dy 0.000 0.251 0.501 x8
5 Dy 0.249 0.499 0.998 x8
6 Ho 0.000 0.500 0.000 x4

Main lines, most intense first (2θ from 10° to 90°):
2θ (°)  d_spacing  Rel. int.  hkl
30.37  2.944  100  4 0 0
41.01  2.201  89  4 4 0
26.90  3.315  45  0 4 0
61.30  1.512  27  4 4 2
64.52  1.444  23  4 8 0
53.95  1.699  20  4 0 2
69.93  1.345  18  8 4 0
63.18  1.472  12  8 0 0

***

Starting from a cell relaxed with PBE, the powder diffraction line list of LiAcSb2 was calculated for Cu Kα.

Cell and atoms:
Unit cell a=4.463 b=4.463 c=11.586 alpha=90.00 beta=90.00 gamma=90.00
Space group P4/nmm (No. 129, origin choice 2)
Unique sites:
1 Li 0.250 0.750 0.000 x2
2 Ac 0.250 0.250 0.262 x2
3 Sb 0.250 0.250 0.849 x2
4 Sb 0.250 0.750 0.500 x2

Main lines, most intense first (2θ from 10° to 90°):
2θ (°)  d_spacing  Rel. int.  hkl
32.31  2.771  100  1 1 2
30.61  2.920  49  1 0 3
40.43  2.231  41  2 0 0
44.03  2.056  31  1 0 5
25.19  3.535  29  1 0 2
21.34  4.164  27  1 0 1
29.34  3.045  25  1 1 1
51.55  1.773  24  2 1 3

***

Starting from a cell relaxed with PBE, the powder diffraction line list of ReTcO6 was calculated for Cu Kα.

Cell and atoms:
Unit cell a=5.3590 b=5.3590 c=13.1239 alpha=90.00 beta=90.00 gamma=120.00
Space group R-3 (No. 148, hexagonal axes)
Unique sites:
1 Re 0.0000 0.0000 0.0000 x3
2 Tc 0.0000 0.0000 0.5000 x3
3 O 0.0012 0.4991 0.7497 x18

Main lines, most intense first (2θ from 10° to 90°):
2θ (°)  d_spacing  Rel. int.  hkl
23.48  3.789  100  0 1 2
33.44  2.679  49  1 1 0
54.12  1.695  39  1 2 2
48.02  1.895  20  0 2 4
59.78  1.547  20  3 0 0
75.23  1.263  18  3 1 2
20.30  4.375  12  1 0 1
70.26  1.340  12  2 2 0

***

Starting from a cell relaxed with PBE, the powder diffraction line list of Tl2Sn9Au3 was calculated for Cu Kα.

Cell and atoms:
Unit cell a=15.310 b=9.711 c=11.496 alpha=90.00 beta=119.68 gamma=90.00
Space group C2/c (No. 15)
Unique sites:
1 Tl 0.166 0.090 0.247 x8
2 Sn 0.000 0.373 0.250 x4
3 Sn 0.067 0.075 0.908 x8
4 Sn 0.104 0.340 0.741 x8
5 Sn 0.122 0.407 0.069 x8
6 Sn 0.247 0.376 0.406 x8
7 Au 0.044 0.216 0.483 x8
8 Au 0.250 0.250 0.000 x4

Main lines, most intense first (2θ from 10° to 90°):
2θ (°)  d_spacing  Rel. int.  hkl
32.77  2.733  100  3 3 -1
32.61  2.746  86  0 2 3
34.30  2.614  42  3 1 2
30.06  2.972  27  4 2 -1
35.23  2.547  26  6 0 -2
31.59  2.832  24  5 1 -1
29.70  3.008  20  2 2 -3
25.59  3.481  19  0 2 2

***

Starting from a cell relaxed with PBE, the powder diffraction line list of PmSm3Pb was calculated for Cu Kα.

Cell and atoms:
Unit cell a=9.138 b=8.788 c=9.714 alpha=90.00 beta=121.85 gamma=90.00
Space group P2_1/c (No. 14)
Unique sites:
1 Pm 0.213 0.063 0.289 x4
2 Sm 0.085 0.695 0.043 x4
3 Sm 0.218 0.064 0.930 x4
4 Sm 0.416 0.084 0.707 x4
5 Pb 0.404 0.750 0.453 x4

Main lines, most intense first (2θ from 10° to 90°):
2θ (°)  d_spacing  Rel. int.  hkl
29.74  3.004  100  2 2 -2
32.67  2.741  76  1 3 0
29.97  2.982  63  2 1 -3
31.27  2.861  59  3 1 -2
31.15  2.872  57  1 1 2
28.18  3.167  52  1 2 1
31.93  2.803  40  2 1 1
36.19  2.482  29  3 1 0

***

Starting from a cell relaxed with PBE, the powder diffraction line list of Er3Hg3Pb2 was calculated for Cu Kα.

Cell and atoms:
Unit cell a=8.5086 b=8.5086 c=10.4903 alpha=90.00 beta=90.00 gamma=120.00
Space group R32 (No. 155, hexagonal axes)
Unique sites:
1 Er 0.0000 0.6625 0.0000 x9
2 Hg 0.0000 0.2700 0.5000 x9
3 Pb 0.0000 0.0000 0.1639 x6

Main lines, most intense first (2θ from 10° to 90°):
2θ (°)  d_spacing  Rel. int.  hkl
33.16  2.701  100  1 1 3
36.57  2.457  84  3 0 0
63.70  1.461  27  4 1 3
33.28  2.692  24  2 1 1
65.54  1.424  24  3 0 6
50.21  1.817  22  2 2 3
25.63  3.476  17  0 2 1
52.33  1.748  11  0 0 6

***

Starting from a cell relaxed with PBE, the powder diffraction line list of SrLi2Ca2Ge2 was calculated for Cu Kα.

Cell and atoms:
Unit cell a=4.7738 b=4.7738 c=27.5810 alpha=90.00 beta=90.00 gamma=120.00
Space group R-3m (No. 166, hexagonal axes)
Unique sites:
1 Sr 0.0000 0.0000 0.0000 x3
2 Li 0.0000 0.0000 0.4076 x6
3 Ca 0.0000 0.0000 0.1289 x6
4 Ge 0.0000 0.0000 0.2510 x6

Main lines, most intense first (2θ from 10° to 90°):
2θ (°)  d_spacing  Rel. int.  hkl
33.85  2.648  100  0 1 8
37.69  2.387  80  1 1 0
21.74  4.089  58  1 0 1
25.12  3.546  45  1 0 4
31.36  2.852  35  1 0 7
51.55  1.773  29  2 0 8
65.59  1.423  27  1 2 8
57.96  1.591  18  1 0 16

***

Starting from a cell relaxed with PBE, the powder diffraction line list of UTl5S5 was calculated for Cu Kα.

Cell and atoms:
Unit cell a=14.051 b=5.816 c=8.892 alpha=90.00 beta=113.62 gamma=90.00
Space group C2/m (No. 12)
Unique sites:
1 U 0.000 0.000 0.000 x2
2 Tl 0.000 0.000 0.500 x2
3 Tl 0.152 0.500 0.803 x4
4 Tl 0.201 0.500 0.302 x4
5 S 0.000 0.500 0.000 x2
6 S 0.133 0.000 0.297 x4
7 S 0.151 0.000 0.901 x4

Main lines, most intense first (2θ from 10° to 90°):
2θ (°)  d_spacing  Rel. int.  hkl
25.28  3.522  100  1 1 -2
25.80  3.453  89  3 1 0
30.75  2.908  59  0 2 0
43.72  2.070  59  2 2 2
30.31  2.949  53  2 0 2
27.59  3.233  46  4 0 -2
41.78  2.162  31  4 2 -2
51.46  1.776  28  1 3 -2

***

Starting from a cell relaxed with PBE, the powder diffraction line list of Pr5DySi4 was calculated for Cu Kα.

Cell and atoms:
Unit cell a=15.781 b=5.092 c=6.988 alpha=90.00 beta=91.08 gamma=90.00
Space group C2/m (No. 12)
Unique sites:
1 Pr 0.000 0.000 0.000 x2
2 Pr 0.164 0.500 0.999 x4
3 Pr 0.166 0.500 0.509 x4
4 Dy 0.000 0.000 0.500 x2
5 Si 0.008 0.500 0.263 x4
6 Si 0.174 0.000 0.750 x4

Main lines, most intense first (2θ from 10° to 90°):
2θ (°)  d_spacing  Rel. int.  hkl
24.33  3.658  100  3 1 0
35.28  2.544  98  0 2 0
35.77  2.510  63  3 1 2
25.50  3.493  44  0 0 2
34.09  2.630  36  6 0 0
49.85  1.829  24  6 2 0
44.01  2.058  21  0 2 2
63.32  1.469  18  3 3 -2

***

Starting from a cell relaxed with PBE, the powder diffraction line list of Pm3Ho2Zn2 was calculated for Cu Kα.

Cell and atoms:
Unit cell a=3.636 b=3.636 c=29.587 alpha=90.00 beta=90.00 gamma=90.00
Space group I4/mmm (No. 139)
Unique sites:
1 Pm 0.000 0.000 0.000 x2
2 Pm 0.000 0.000 0.123 x4
3 Ho 0.000 0.000 0.290 x4
4 Zn 0.000 0.000 0.438 x4

Main lines, most intense first (2θ from 10° to 90°):
2θ (°)  d_spacing  Rel. int.  hkl
32.48  2.756  100  1 0 7
34.90  2.571  55  1 1 0
61.06  1.518  32  2 1 7
28.82  3.098  24  1 0 5
50.18  1.818  20  2 0 0
58.86  1.569  16  1 0 17
51.34  1.780  10  1 1 12
80.92  1.188  9  2 1 17

***

Starting from a cell relaxed with PBE, the powder diffraction line list of AlSiOsRu was calculated for Cu Kα.

Cell and atoms:
Unit cell a=2.982 b=4.169 c=4.212 alpha=90.00 beta=90.00 gamma=90.00
Space group Pmmm (No. 47)
Unique sites:
1 Al 0.000 0.000 0.000 x1
2 Si 0.000 0.500 0.500 x1
3 Os 0.500 0.000 0.500 x1
4 Ru 0.500 0.500 0.000 x1

Main lines, most intense first (2θ from 10° to 90°):
2θ (°)  d_spacing  Rel. int.  hkl
43.02  2.102  100  1 1 1
30.16  2.963  48  0 1 1
29.97  2.982  24  1 0 0
43.41  2.085  19  0 2 0
78.77  1.215  14  1 1 3
79.40  1.207  13  1 3 1
62.71  1.481  13  0 2 2
70.77  1.331  13  2 1 1